# 1
Diffraction record for Fe2SiSn. The X-ray powder pattern is calculated, not measured: it uses a crystal structure in OQMD, relaxed with PBE and Cu Ka.

Principal peaks in the range 5° ≤ 2θ ≤ 70°, in order of rising 2θ:
- 2θ = 15.01°, rel. 10.1
- 2θ = 26.16°, rel. 7.9
- 2θ = 30.29°, rel. 2.2
- 2θ = 33.97°, rel. 19.8
- 2θ = 43.37°, rel. 100.0
- 2θ = 46.15°, rel. 7.4
- 2θ = 51.35°, rel. 4.0
- 2θ = 63.01°, rel. 15.4
- 2θ = 65.18°, rel. 7.0
- 2θ = 69.42°, rel. 1.8

```
16
Lattice="5.901 0.000 0.000 0.000 5.901 0.000 0.000 0.000 5.901" Properties=species:S:1:pos:R:3 pbc="T T T"
Fe 1.376 1.376 1.376
Fe 1.376 1.376 4.526
Fe 1.376 4.526 1.376
Fe 1.376 4.526 4.526
Fe 4.526 1.376 1.376
Fe 4.526 1.376 4.526
Fe 4.526 4.526 1.376
Fe 4.526 4.526 4.526
Si 0.000 0.000 0.000
Si 0.000 0.000 2.951
Si 0.000 2.951 0.000
Si 2.951 0.000 0.000
Sn 0.000 2.951 2.951
Sn 2.951 0.000 2.951
Sn 2.951 2.951 0.000
Sn 2.951 2.951 2.951
```


# 2
Diffraction record for Ta6Fe16Si7. The X-ray powder pattern is calculated, not measured: it uses a crystal structure in OQMD, relaxed with PBE and Cu Ka.

Principal peaks in the range 5° ≤ 2θ ≤ 70°, in order of rising 2θ:
- 2θ = 13.73°, rel. 8.2
- 2θ = 27.66°, rel. 54.5
- 2θ = 35.00°, rel. 23.4
- 2θ = 39.51°, rel. 31.0
- 2θ = 42.02°, rel. 100.0
- 2θ = 45.95°, rel. 62.5
- 2θ = 48.91°, rel. 17.9
- 2θ = 59.04°, rel. 16.6
- 2θ = 64.01°, rel. 15.0
- 2θ = 68.77°, rel. 16.7

```
29
Lattice="0.000 5.587 5.587 5.587 0.000 5.587 5.587 5.587 0.000" Properties=species:S:1:pos:R:3 pbc="T T T"
Ta 5.587 5.587 2.273
Ta 5.587 2.273 5.587
Ta 8.900 5.587 5.587
Ta 2.273 5.587 5.587
Ta 5.587 8.900 5.587
Ta 5.587 5.587 8.900
Fe 6.925 4.248 4.248
Fe 1.936 1.936 1.936
Fe 3.651 3.651 1.936
Fe 3.651 1.936 3.651
Fe 4.248 4.248 4.248
Fe 6.925 6.925 4.248
Fe 6.925 4.248 6.925
Fe 1.936 3.651 3.651
Fe 9.237 7.523 7.523
Fe 4.248 6.925 4.248
Fe 4.248 4.248 6.925
Fe 6.925 6.925 6.925
Fe 7.523 9.237 7.523
Fe 7.523 7.523 9.237
Fe 9.237 9.237 9.237
Fe 4.248 6.925 6.925
Si 2.793 2.793 0.000
Si 2.793 0.000 2.793
Si 5.587 2.793 2.793
Si 0.000 2.793 2.793
Si 2.793 5.587 2.793
Si 2.793 2.793 5.587
Si 5.587 5.587 5.587
```


# 3
Diffraction record for Y2TaFeSi2. The X-ray powder pattern is calculated, not measured: it uses a crystal structure in OQMD, relaxed with PBE and Cu Ka.

Principal peaks in the range 5° ≤ 2θ ≤ 70°, in order of rising 2θ:
- 2θ = 11.85°, rel. 55.8
- 2θ = 25.60°, rel. 42.7
- 2θ = 33.08°, rel. 49.5
- 2θ = 34.41°, rel. 100.0
- 2θ = 36.09°, rel. 29.6
- 2θ = 40.44°, rel. 71.4
- 2θ = 46.15°, rel. 44.0
- 2θ = 57.95°, rel. 19.7
- 2θ = 59.65°, rel. 19.7
- 2θ = 59.95°, rel. 26.4

```
6
Lattice="3.934 0.000 0.000 0.000 3.934 0.000 0.000 0.000 7.467" Properties=species:S:1:pos:R:3 pbc="T T T"
Y 0.000 1.967 1.137
Y 1.967 0.000 6.330
Ta 1.967 1.967 3.733
Fe 0.000 0.000 3.733
Si 0.000 1.967 5.419
Si 1.967 0.000 2.047
```


# 4
Diffraction record for TbYFe2Si4. The X-ray powder pattern is calculated, not measured: it uses a crystal structure in OQMD, relaxed with PBE and Cu Ka.

Principal peaks in the range 5° ≤ 2θ ≤ 70°, in order of rising 2θ:
- 2θ = 10.76°, rel. 24.3
- 2θ = 21.62°, rel. 28.1
- 2θ = 31.35°, rel. 26.3
- 2θ = 32.07°, rel. 78.6
- 2θ = 35.16°, rel. 71.6
- 2θ = 35.69°, rel. 100.0
- 2θ = 40.00°, rel. 40.3
- 2θ = 44.79°, rel. 34.3
- 2θ = 45.78°, rel. 32.1
- 2θ = 59.01°, rel. 30.7

```
8
Lattice="3.964 0.000 0.000 0.000 2.024 8.222 0.000 -2.024 8.222" Properties=species:S:1:pos:R:3 pbc="T T T"
Tb 0.000 0.000 0.000
Y 1.982 0.000 3.548
Fe 0.000 0.000 12.940
Fe 1.982 0.000 7.058
Si 0.000 0.000 5.880
Si 0.000 0.000 10.706
Si 1.982 0.000 9.292
Si 1.982 0.000 14.116
```


# 5
Diffraction record for Zr4Fe4Si7. The X-ray powder pattern is calculated, not measured: it uses a crystal structure in OQMD, relaxed with PBE and Cu Ka.

Principal peaks in the range 5° ≤ 2θ ≤ 70°, in order of rising 2θ:
- 2θ = 27.07°, rel. 12.4
- 2θ = 30.40°, rel. 22.4
- 2θ = 33.42°, rel. 18.2
- 2θ = 38.85°, rel. 100.0
- 2θ = 39.03°, rel. 27.6
- 2θ = 41.51°, rel. 30.9
- 2θ = 42.01°, rel. 59.6
- 2θ = 46.59°, rel. 11.5
- 2θ = 65.91°, rel. 25.9
- 2θ = 66.15°, rel. 19.9

```
30
Lattice="-6.527 6.527 2.520 6.527 -6.527 2.520 6.527 6.527 -2.520" Properties=species:S:1:pos:R:3 pbc="T T T"
Zr 2.564 0.000 0.000
Zr 10.490 0.000 0.000
Zr 0.000 2.564 0.000
Zr 4.725 4.725 0.000
Zr 1.802 -1.802 2.520
Zr -1.802 1.802 2.520
Zr 1.802 1.802 2.520
Zr 0.000 10.490 0.000
Fe 4.597 -1.930 1.260
Fe 8.457 -1.930 1.260
Fe 4.597 1.930 1.260
Fe 8.457 1.930 1.260
Fe -1.930 4.597 1.260
Fe 1.930 4.597 1.260
Fe -1.930 8.457 1.260
Fe 1.930 8.457 1.260
Si 5.337 0.000 0.000
Si 7.717 0.000 0.000
Si 6.527 2.606 0.000
Si 2.749 2.749 0.000
Si 3.778 -3.778 2.520
Si 0.000 0.000 1.260
Si 0.000 5.337 0.000
Si 2.606 6.527 0.000
Si 3.921 0.000 2.520
Si 0.000 7.717 0.000
Si 0.000 0.000 3.780
Si -3.778 3.778 2.520
Si 3.778 3.778 2.520
Si 0.000 3.921 2.520
```


# 6
Diffraction record for Sm2Fe17. The X-ray powder pattern is calculated, not measured: it uses a crystal structure in OQMD, relaxed with PBE and Cu Ka.

Principal peaks in the range 5° ≤ 2θ ≤ 70°, in order of rising 2θ:
- 2θ = 30.30°, rel. 39.5
- 2θ = 36.78°, rel. 40.7
- 2θ = 41.11°, rel. 32.1
- 2θ = 42.73°, rel. 61.2
- 2θ = 43.06°, rel. 100.0
- 2θ = 44.03°, rel. 32.0
- 2θ = 46.60°, rel. 16.1
- 2θ = 48.37°, rel. 19.3
- 2θ = 62.28°, rel. 16.0
- 2θ = 63.03°, rel. 17.6

```
38
Lattice="8.464 0.000 0.000 -4.232 7.330 0.000 0.000 0.000 8.227" Properties=species:S:1:pos:R:3 pbc="T T T"
Sm 0.000 0.000 2.057
Sm 0.000 0.000 6.170
Sm 0.000 4.887 2.057
Sm 4.232 2.443 6.170
Fe -2.116 3.665 0.000
Fe -2.116 3.665 4.114
Fe -1.211 2.730 6.170
Fe -2.473 4.917 6.170
Fe 0.000 2.435 0.125
Fe 0.000 2.435 3.989
Fe -2.123 6.113 0.125
Fe -2.123 6.113 3.989
Fe 1.211 2.730 6.170
Fe -1.262 7.014 6.170
Fe 2.109 1.217 4.239
Fe 2.109 1.217 8.102
Fe 0.000 4.887 4.992
Fe 0.000 4.887 7.349
Fe 2.970 0.316 2.057
Fe 1.759 2.414 2.057
Fe 4.232 0.000 0.000
Fe 4.232 0.000 4.114
Fe 2.116 3.665 0.000
Fe 2.116 3.665 4.114
Fe 2.473 4.917 6.170
Fe 1.262 7.014 6.170
Fe 4.232 2.443 0.878
Fe 4.232 2.443 3.235
Fe 2.123 6.113 0.125
Fe 2.123 6.113 3.989
Fe 5.495 0.316 2.057
Fe 3.021 4.600 2.057
Fe 6.356 1.217 4.239
Fe 6.356 1.217 8.102
Fe 4.232 4.895 4.239
Fe 4.232 4.895 8.102
Fe 6.705 2.414 2.057
Fe 5.443 4.600 2.057
```


# 7
Diffraction record for Sm2Fe. The X-ray powder pattern is calculated, not measured: it uses a crystal structure in OQMD, relaxed with PBE and Cu Ka.

Principal peaks in the range 5° ≤ 2θ ≤ 70°, in order of rising 2θ:
- 2θ = 13.72°, rel. 100.0
- 2θ = 26.44°, rel. 19.9
- 2θ = 27.63°, rel. 46.4
- 2θ = 32.01°, rel. 15.2
- 2θ = 34.98°, rel. 30.7
- 2θ = 41.98°, rel. 7.9
- 2θ = 45.91°, rel. 24.9
- 2θ = 48.14°, rel. 24.7
- 2θ = 54.43°, rel. 21.2
- 2θ = 58.99°, rel. 13.3

```
6
Lattice="0.000 5.591 5.591 5.591 0.000 5.591 5.591 5.591 0.000" Properties=species:S:1:pos:R:3 pbc="T T T"
Sm 0.000 0.000 0.000
Sm 2.796 2.796 0.000
Sm 2.796 0.000 2.796
Sm 0.000 2.796 2.796
Fe 1.398 1.398 1.398
Fe 9.785 9.785 9.785
```


# 8
Diffraction record for FeSn3. The X-ray powder pattern is calculated, not measured: it uses a crystal structure in OQMD, relaxed with PBE and Cu Ka.

Principal peaks in the range 5° ≤ 2θ ≤ 70°, in order of rising 2θ:
- 2θ = 27.73°, rel. 31.2
- 2θ = 31.78°, rel. 45.0
- 2θ = 32.91°, rel. 50.3
- 2θ = 35.00°, rel. 100.0
- 2θ = 37.86°, rel. 41.3
- 2θ = 42.68°, rel. 61.1
- 2θ = 44.81°, rel. 20.5
- 2θ = 44.93°, rel. 20.4
- 2θ = 58.72°, rel. 22.9
- 2θ = 61.59°, rel. 28.1

```
16
Lattice="8.446 -3.212 0.000 8.446 3.212 0.000 0.000 0.000 6.444" Properties=species:S:1:pos:R:3 pbc="T T T"
Fe 1.248 0.000 0.000
Fe 7.198 0.000 3.222
Fe 9.694 0.000 3.222
Fe 15.644 0.000 0.000
Sn 5.679 2.034 2.046
Sn 5.679 1.178 5.268
Sn 8.446 2.189 4.248
Sn 8.446 1.022 1.026
Sn 11.212 2.034 2.046
Sn 11.212 1.178 5.268
Sn 5.679 -1.178 1.176
Sn 5.679 -2.034 4.398
Sn 8.446 -1.022 5.417
Sn 8.446 -2.189 2.196
Sn 11.212 -1.178 1.176
Sn 11.212 -2.034 4.398
```